No. 1
Structure and calculated powder diffractogram of KBeS (a crystal structure in Alexandria, relaxed with PBE; Cu Ka).
Lines closer than 0.1° are merged.

Main lines, in order of rising 2θ (2θ = 5–70°):
2θ/deg	I/Imax
25.09	37.6
27.09	100.0
37.25	66.9
38.34	21.1
46.96	16.8
62.14	19.3

Structural model:
```
KBeS
1.0
4.6161 0.0000 0.0000
0.0000 4.6955 0.0000
0.0000 0.0000 14.1969
K Be S
4 4 4
direct
0.0000 0.0000 0.1527
0.0000 0.0000 0.8473
0.5000 0.5000 0.3473
0.5000 0.5000 0.6527
0.2396 0.5000 0.0000
0.2604 0.0000 0.5000
0.7396 0.0000 0.5000
0.7604 0.5000 0.0000
0.0000 0.0000 0.3820
0.0000 0.0000 0.6180
0.5000 0.5000 0.1180
0.5000 0.5000 0.8820
```


No. 2
Structure and calculated powder diffractogram of Cd6RhAu12 (a crystal structure in Alexandria, relaxed with PBE; Cu Ka).
Lines closer than 0.1° are merged.

Main lines, in order of rising 2θ (2θ = 5–70°):
2θ/deg	I/Imax
27.65	25.9
37.35	100.0
37.79	60.0
38.67	58.4
39.60	68.5
40.24	61.7

Structural model:
```
Cd6RhAu12
1.0
5.1148 2.9530 4.0224
-5.1148 2.9530 4.0224
0.0000 -5.9061 4.0224
Cd Rh Au
6 1 12
direct
0.2216 0.3862 0.7632
0.2368 0.7784 0.6138
0.3862 0.7632 0.2216
0.6138 0.2368 0.7784
0.7632 0.2216 0.3862
0.7784 0.6138 0.2368
0.5000 0.5000 0.5000
0.0324 0.9466 0.2947
0.0534 0.7053 0.9676
0.1318 0.4539 0.3515
0.2947 0.0324 0.9466
0.3515 0.1318 0.4539
0.4539 0.3515 0.1318
0.5461 0.6485 0.8682
0.6485 0.8682 0.5461
0.7053 0.9676 0.0534
0.8682 0.5461 0.6485
0.9466 0.2947 0.0324
0.9676 0.0534 0.7053
```


No. 3
Structure and calculated powder diffractogram of Pu4As2SeS (a crystal structure in Alexandria, relaxed with PBE; Cu Ka).
Lines closer than 0.1° are merged.

Main lines, in order of rising 2θ (2θ = 5–70°):
2θ/deg	I/Imax
26.59	65.6
30.73	50.8
30.89	100.0
44.05	38.1
44.19	57.1
54.77	30.4

Structural model:
```
Pu4As2SeS
1.0
7.0950 0.0000 0.0000
0.0000 4.1017 0.0000
-2.4209 0.0000 6.7026
Pu As Se S
4 2 1 1
direct
0.2451 0.0000 0.2417
0.2499 0.5000 0.7541
0.7501 0.5000 0.2459
0.7549 0.0000 0.7583
0.5000 0.0000 0.0000
0.5000 0.5000 0.5000
0.0000 0.0000 0.5000
0.0000 0.5000 0.0000
```